1.
The following is a simulated powder XRD pattern of Cd4Te6Cl6O13. It was derived from a crystal structure in the Materials Project, relaxed with GGA-PBE, using Cu Kα X-rays.

The 10 most intense peaks (15° ≤ 2θ ≤ 90°), most intense first:
two_theta, d_spacing, I_rel
26.5, 3.364, 100
17.8, 4.989, 57
30.4, 2.942, 48
26.1, 3.408, 47
30.2, 2.958, 45
30.8, 2.902, 45
45.3, 2.003, 33
29.5, 3.026, 32
28.3, 3.158, 30
30.1, 2.970, 29

Crystal structure
Cell lengths 8.0154, 10.1058, 14.3504 Å; angles 76.09, 74.98, 89.88 degrees
Positions (direct):
Cd1 0.0880 0.1448 0.0408
Cd2 0.1056 0.6556 0.5391
Cd3 0.3917 0.3447 0.4619
Cd4 0.4080 0.8529 0.9651
Cd5 0.5920 0.1471 0.0349
Cd6 0.6083 0.6553 0.5381
Cd7 0.8944 0.3444 0.4609
Cd8 0.9120 0.8552 0.9592
Te1 0.0536 0.7758 0.1815
Te2 0.2002 0.4948 0.8965
Te3 0.2206 0.0625 0.2571
Te4 0.2519 0.9395 0.7434
Te5 0.3615 0.4991 0.1062
Te6 0.4837 0.1760 0.7905
Te7 0.5163 0.8240 0.2095
Te8 0.6385 0.5009 0.8938
Te9 0.7481 0.0605 0.2566
Te10 0.7794 0.9375 0.7429
Te11 0.7998 0.5052 0.1035
Te12 0.9464 0.2242 0.8185
Cl1 0.0190 0.6984 0.7150
Cl2 0.1086 0.1798 0.5338
Cl3 0.1790 0.5367 0.3887
Cl4 0.3236 0.4635 0.6136
Cl5 0.3897 0.8167 0.4669
Cl6 0.4698 0.2826 0.2909
Cl7 0.5302 0.7174 0.7091
Cl8 0.6103 0.1833 0.5331
Cl9 0.6764 0.5365 0.3864
Cl10 0.8210 0.4633 0.6113
Cl11 0.8914 0.8202 0.4662
Cl12 0.9810 0.3016 0.2850
O1 0.0007 0.9760 0.7754
O2 0.0988 0.3214 0.8964
O3 0.1012 0.9074 0.0588
O4 0.1452 0.4429 0.0387
O5 0.2068 0.8290 0.8745
O6 0.2453 0.8741 0.2286
O7 0.2486 0.1226 0.7752
O8 0.2619 0.6848 0.1259
O9 0.2982 0.1640 0.1238
O10 0.4215 0.0980 0.9296
O11 0.4262 0.4148 0.8703
O12 0.4372 0.6122 0.9681
O13 0.4900 0.0069 0.2390
O14 0.5100 0.9931 0.7610
O15 0.5628 0.3878 0.0319
O16 0.5738 0.5852 0.1297
O17 0.5785 0.9020 0.0704
O18 0.7018 0.8360 0.8762
O19 0.7381 0.3152 0.8741
O20 0.7514 0.8774 0.2248
O21 0.7547 0.1259 0.7714
O22 0.7932 0.1710 0.1255
O23 0.8548 0.5571 0.9613
O24 0.8988 0.0926 0.9412
O25 0.9012 0.6786 0.1036
O26 0.9993 0.0240 0.2246

***

2.
The following is a simulated powder XRD pattern of Cd2P3Cl. It was derived from a crystal structure in the Materials Project, relaxed with GGA-PBE, using Cu Kα X-rays.

The 10 most intense peaks (15° ≤ 2θ ≤ 90°), most intense first:
two_theta, d_spacing, I_rel
30.5, 2.936, 100
23.6, 3.770, 54
33.5, 2.671, 51
22.7, 3.910, 50
22.3, 3.994, 28
48.5, 1.879, 26
30.7, 2.909, 26
29.6, 3.013, 22
50.4, 1.811, 18
35.6, 2.523, 16

Crystal structure
Cell lengths 6.1164, 6.1164, 7.6672 Å; angles 96.92, 96.92, 96.79 degrees
Positions (direct):
Cd1 0.1537 0.8463 0.5000
Cd2 0.3643 0.6715 0.9323
Cd3 0.6715 0.3643 0.4323
Cd4 0.8463 0.1537 0.0000
P1 0.5640 0.9537 0.4656
P2 0.5988 0.6892 0.2513
P3 0.6892 0.5988 0.7513
P4 0.8287 0.9191 0.6800
P5 0.9191 0.8287 0.1800
P6 0.9537 0.5640 0.9656
Cl1 0.1219 0.3941 0.4594
Cl2 0.3941 0.1219 0.9594

***

3.
The following is a simulated powder XRD pattern of Cd2PCl2. It was derived from a crystal structure in the Materials Project, relaxed with GGA-PBE, using Cu Kα X-rays.

The 10 most intense peaks (15° ≤ 2θ ≤ 90°), most intense first:
two_theta, d_spacing, I_rel
23.2, 3.832, 100
29.4, 3.036, 90
25.2, 3.538, 74
23.5, 3.792, 69
26.1, 3.413, 61
27.6, 3.230, 50
30.0, 2.975, 41
41.7, 2.164, 38
45.8, 1.983, 37
39.3, 2.290, 35

Crystal structure
Cell lengths 7.8537, 9.1178, 8.1414 Å; angles 90.00, 119.64, 90.00 degrees
Positions (direct):
Cd1 0.0312 0.2049 0.2091
Cd2 0.0312 0.2951 0.7091
Cd3 0.4307 0.5808 0.2320
Cd4 0.4307 0.9192 0.7320
Cd5 0.5693 0.0808 0.2680
Cd6 0.5693 0.4192 0.7680
Cd7 0.9688 0.7049 0.2909
Cd8 0.9688 0.7951 0.7909
P1 0.0653 0.6086 0.0553
P2 0.0653 0.8914 0.5553
P3 0.9347 0.1086 0.4447
P4 0.9347 0.3914 0.9447
Cl1 0.2433 0.5267 0.6944
Cl2 0.2433 0.9733 0.1944
Cl3 0.4212 0.1960 0.9223
Cl4 0.4212 0.3040 0.4223
Cl5 0.5788 0.6960 0.5777
Cl6 0.5788 0.8040 0.0777
Cl7 0.7567 0.0267 0.8056
Cl8 0.7567 0.4733 0.3056

***

4.
The following is a simulated powder XRD pattern of Cd2P3Cl. It was derived from a crystal structure in the Materials Project, relaxed with GGA-PBE, using Cu Kα X-rays.

The 10 most intense peaks (15° ≤ 2θ ≤ 90°), most intense first:
two_theta, d_spacing, I_rel
30.4, 2.936, 100
23.7, 3.759, 51
22.7, 3.910, 50
33.6, 2.668, 50
48.5, 1.879, 34
22.3, 3.990, 28
30.8, 2.905, 24
29.7, 3.007, 22
50.5, 1.806, 17
46.5, 1.955, 15

Crystal structure
Cell lengths 6.1174, 6.1174, 7.6486 Å; angles 97.00, 97.00, 96.87 degrees
Positions (direct):
Cd1 0.0901 0.3952 0.2867
Cd2 0.3952 0.0901 0.7867
Cd3 0.6048 0.9099 0.2133
Cd4 0.9099 0.6048 0.7133
P1 0.0690 0.1607 0.9654
P2 0.1607 0.0690 0.4654
P3 0.1952 0.8048 0.2500
P4 0.8048 0.1952 0.7500
P5 0.8393 0.9310 0.5346
P6 0.9310 0.8393 0.0346
Cl1 0.3613 0.6387 0.7500
Cl2 0.6387 0.3613 0.2500

***

5.
The following is a simulated powder XRD pattern of Rb4CdCl6. It was derived from a crystal structure in the Materials Project, relaxed with GGA-PBE, using Cu Kα X-rays.

The 10 most intense peaks (15° ≤ 2θ ≤ 90°), most intense first:
two_theta, d_spacing, I_rel
27.5, 3.244, 100
21.4, 4.162, 95
27.1, 3.287, 88
25.4, 3.502, 84
37.9, 2.375, 82
33.1, 2.710, 72
29.0, 3.077, 70
18.2, 4.862, 65
24.0, 3.711, 57
27.8, 3.212, 56

Crystal structure
Cell lengths 12.9604, 12.9604, 8.8367 Å; angles 94.70, 94.70, 145.30 degrees
Positions (direct):
Rb1 0.0263 0.9737 0.7500
Rb2 0.1429 0.8571 0.2500
Rb3 0.1528 0.5112 0.3929
Rb4 0.4888 0.8472 0.1071
Rb5 0.5112 0.1528 0.8929
Rb6 0.8472 0.4888 0.6071
Rb7 0.8571 0.1429 0.7500
Rb8 0.9737 0.0263 0.2500
Cd1 0.5000 0.5000 0.0000
Cd2 0.5000 0.5000 0.5000
Cl1 0.1723 0.7448 0.9507
Cl2 0.2032 0.3250 0.5851
Cl3 0.2427 0.4006 0.0490
Cl4 0.2552 0.8277 0.5493
Cl5 0.3250 0.2032 0.0851
Cl6 0.4006 0.2427 0.5490
Cl7 0.5994 0.7573 0.4510
Cl8 0.6750 0.7968 0.9149
Cl9 0.7448 0.1723 0.4507
Cl10 0.7573 0.5994 0.9510
Cl11 0.7968 0.6750 0.4149
Cl12 0.8277 0.2552 0.0493

***

6.
The following is a simulated powder XRD pattern of Rb4CdCl6. It was derived from a crystal structure in the Materials Project, relaxed with GGA-PBE, using Cu Kα X-rays.

The 10 most intense peaks (15° ≤ 2θ ≤ 90°), most intense first:
two_theta, d_spacing, I_rel
24.2, 3.671, 100
32.9, 2.722, 91
31.2, 2.866, 78
42.5, 2.129, 53
29.8, 2.999, 50
21.9, 4.058, 50
27.8, 3.211, 49
63.7, 1.462, 31
37.4, 2.405, 23
49.7, 1.836, 22

Crystal structure
Cell lengths 9.0379, 9.0379, 9.0379 Å; angles 89.42, 89.42, 89.42 degrees
Positions (direct):
Rb1 0.1264 0.7500 0.3736
Rb2 0.2500 0.2500 0.2500
Rb3 0.2500 0.6264 0.8736
Rb4 0.3736 0.1264 0.7500
Rb5 0.6264 0.8736 0.2500
Rb6 0.7500 0.3736 0.1264
Rb7 0.7500 0.7500 0.7500
Rb8 0.8736 0.2500 0.6264
Cd1 0.0000 0.0000 0.0000
Cd2 0.5000 0.5000 0.5000
Cl1 0.0577 0.9314 0.7149
Cl2 0.0686 0.2851 0.9423
Cl3 0.2149 0.4314 0.5577
Cl4 0.2851 0.9423 0.0686
Cl5 0.4314 0.5577 0.2149
Cl6 0.4423 0.7851 0.5686
Cl7 0.5577 0.2149 0.4314
Cl8 0.5686 0.4423 0.7851
Cl9 0.7149 0.0577 0.9314
Cl10 0.7851 0.5686 0.4423
Cl11 0.9314 0.7149 0.0577
Cl12 0.9423 0.0686 0.2851